BaLi4Cd: calculated XRD peak list (Cu Kα X-rays), based on a cell relaxed with GGA-PBE.

Cell: 5.2806 8.3721 8.3821 Å, 61.39 80.86 80.88°
Sites, in units of the cell vectors:
Ba 0.2499 0.1915 0.3086
Ba 0.7501 0.8085 0.6914
Li 0.0612 0.1170 0.7981
Li 0.2258 0.6894 0.0389
Li 0.2744 0.4601 0.8109
Li 0.4387 0.7020 0.3831
Li 0.5613 0.2980 0.6169
Li 0.7256 0.5399 0.1891
Li 0.7742 0.3106 0.9611
Li 0.9388 0.8830 0.2019
Cd 0.0000 0.5000 0.5000
Cd 0.5000 0.0000 0.0000

Main lines, most intense first (2θ from 5° to 70°):
20.00°, I 100; 29.73°, I 41; 20.77°, I 36; 25.16°, I 32; 34.79°, I 27; 32.84°, I 26; 34.55°, I 17; 35.94°, I 16; 40.65°, I 13; 55.73°, I 11; 39.11°, I 11; 44.69°, I 11

LiCa4Cl8: calculated XRD peak list (Cu Kα X-rays), based on a cell relaxed with GGA-PBE.

Cell: 8.0207 8.0207 8.0207 Å, 60.00 60.00 60.00°
Sites, in units of the cell vectors:
Li 0.0000 0.0000 0.0000
Ca 0.1130 0.6290 0.6290
Ca 0.6290 0.1130 0.6290
Ca 0.6290 0.6290 0.1130
Ca 0.6290 0.6290 0.6290
Cl 0.3616 0.8795 0.8795
Cl 0.3843 0.3843 0.3843
Cl 0.3843 0.3843 0.8470
Cl 0.3843 0.8470 0.3843
Cl 0.8470 0.3843 0.3843
Cl 0.8795 0.3616 0.8795
Cl 0.8795 0.8795 0.3616
Cl 0.8795 0.8795 0.8795

Main lines, most intense first (2θ from 5° to 70°):
31.55°, I 100; 45.22°, I 66; 13.52°, I 45; 26.05°, I 25; 56.18°, I 20; 27.23°, I 14; 41.36°, I 11; 65.87°, I 9; 47.42°, I 9; 34.47°, I 8; 62.94°, I 5; 58.07°, I 5